(1)
Theoretical powder X-ray diffraction pattern of Pr5Mg3 for Cu Kα (λ = 1.5418 Å), from a crystal structure in Alexandria, relaxed with GGA-PBE.

The 12 most intense peaks (2θ = 5–70°), in order of falling intensity:
d_spacing	Rel. int.	h k l
2.860	100	1 0 4
2.737	48	1 1 0
3.773	36	1 0 1
1.603	35	2 1 4
1.935	17	2 0 0
1.677	16	1 1 8
2.131	16	1 1 5
3.395	14	0 0 5
1.696	13	1 0 9
1.430	9	2 0 8
2.122	8	0 0 8
1.722	8	2 1 1

Structural model:
a b c (Å): 3.870 3.870 16.976
angles (deg): 90.00 90.00 90.00
Positions (direct):
Pr (0.000, 0.000, 0.000)
Pr (0.000, 0.000, 0.233)
Pr (0.000, 0.000, 0.767)
Pr (0.500, 0.500, 0.381)
Pr (0.500, 0.500, 0.619)
Mg (0.000, 0.000, 0.500)
Mg (0.500, 0.500, 0.116)
Mg (0.500, 0.500, 0.884)

***

(2)
Theoretical powder X-ray diffraction pattern of Pr2MgPt5Rh2 for Cu Kα (λ = 1.5418 Å), from a crystal structure in Alexandria, relaxed with GGA-PBE.

The 12 most intense peaks (2θ = 5–70°), in order of falling intensity:
d_spacing	Rel. int.	h k l
2.440	100	3 1 1
2.305	46	4 1 0
2.230	45	3 2 1
2.091	36	0 0 2
1.549	27	4 1 2
2.240	25	3 3 0
2.066	23	4 0 1
2.981	19	2 1 1
4.182	19	0 0 1
3.139	16	2 0 1
2.619	16	2 2 1
1.528	15	3 3 2

Structural model:
a b c (Å): 9.503 9.503 4.182
angles (deg): 90.00 90.00 90.00
Positions (direct):
Pr (0.171, 0.329, 0.000)
Pr (0.329, 0.829, 0.000)
Pr (0.671, 0.171, 0.000)
Pr (0.829, 0.671, 0.000)
Mg (0.000, 0.000, 0.000)
Mg (0.500, 0.500, 0.000)
Pt (0.000, 0.500, 0.500)
Pt (0.063, 0.799, 0.500)
Pt (0.201, 0.063, 0.500)
Pt (0.299, 0.563, 0.500)
Pt (0.437, 0.299, 0.500)
Pt (0.500, 0.000, 0.500)
Pt (0.563, 0.701, 0.500)
Pt (0.701, 0.437, 0.500)
Pt (0.799, 0.937, 0.500)
Pt (0.937, 0.201, 0.500)
Rh (0.127, 0.627, 0.000)
Rh (0.373, 0.127, 0.000)
Rh (0.627, 0.873, 0.000)
Rh (0.873, 0.373, 0.000)

***

(3)
Theoretical powder X-ray diffraction pattern of PrMgSc2Pt2 for Cu Kα (λ = 1.5418 Å), from a crystal structure in Alexandria, relaxed with GGA-PBE.

The 12 most intense peaks (2θ = 5–70°), in order of falling intensity:
d_spacing	Rel. int.	h k l
3.504	100	0 1 1
2.379	79	1 1 0
2.590	71	0 1 2
1.752	22	0 2 2
1.954	22	1 0 3
1.411	21	2 1 2
1.968	21	2 0 1
1.517	19	1 2 1
1.364	16	1 1 4
1.374	14	3 0 0
1.936	14	1 1 2
1.623	12	1 1 3

Structural model:
a b c (Å): 4.758 4.758 6.658
angles (deg): 90.00 90.00 120.00
Positions (direct):
Pr (0.000, 0.000, 0.000)
Mg (0.000, 0.000, 0.500)
Sc (0.333, 0.667, 0.669)
Sc (0.667, 0.333, 0.331)
Pt (0.333, 0.667, 0.265)
Pt (0.667, 0.333, 0.735)